# Pm2Cu3Si
Theoretical powder XRD pattern, Cu Kα. Input: a crystal structure in Alexandria, relaxed with PBE.
Kinematic intensities with the Lorentz-polarization factor, no thermal factor.

Main lines, in order of rising 2θ (2θ = 15–90°):
2θ 24.23, intensity 21.2, (0 0 4)
2θ 33.80, intensity 100.0, (2 2 2)
2θ 42.63, intensity 43.3, (0 4 0)
2θ 47.43, intensity 10.3, (4 0 0)
2θ 49.64, intensity 3.2, (0 4 4)
2θ 53.96, intensity 4.7, (4 0 4)
2θ 55.48, intensity 23.7, (2 0 8)
2θ 65.66, intensity 22.5, (4 4 0)
2θ 72.36, intensity 14.1, (2 4 8)
2θ 72.46, intensity 6.9, (2 2 10)
2θ 77.99, intensity 4.9, (0 6 6)
2θ 79.40, intensity 7.7, (6 2 2)

Structure:
Cell lengths 7.667, 8.493, 14.676 Å; angles 90.00, 90.00, 90.00 degrees
Space group Fmmm (No. 69)
One atom of each set of equivalent atoms:
Pm (0.238, 0.000, 0.000) [8 per cell]
Pm (0.250, 0.250, 0.250) [8 per cell]
Cu (0.000, 0.000, 0.171) [8 per cell]
Cu (0.000, 0.244, 0.416) [16 per cell]
Si (0.000, 0.000, 0.335) [8 per cell]